Diffraction record for LiYMg14. The powder diffraction line list is calculated, not measured: it uses a PBE-relaxed structure and Cu Ka.
Lines closer than 0.1° are merged.

```
data_LiYMg14
_cell_length_a 10.382
_cell_length_b 6.495
_cell_length_c 6.495
_cell_angle_alpha 59.48
_cell_angle_beta 90.00
_cell_angle_gamma 90.00
_space_group_name_H-M_alt 'P 1'
_space_group_IT_number 1
loop_
_space_group_symop_operation_xyz
'x,y,z'
loop_
_atom_site_label
_atom_site_fract_x
_atom_site_fract_y
_atom_site_fract_z
Li1 0.000 0.000 0.000
Y1 0.000 0.506 0.506
Mg1 0.000 0.001 0.517
Mg2 0.000 0.517 0.001
Mg3 0.243 0.169 0.169
Mg4 0.254 0.168 0.672
Mg5 0.254 0.672 0.168
Mg6 0.255 0.671 0.671
Mg7 0.500 0.005 0.005
Mg8 0.500 0.005 0.503
Mg9 0.500 0.503 0.005
Mg10 0.500 0.504 0.504
Mg11 0.745 0.671 0.671
Mg12 0.746 0.168 0.672
Mg13 0.746 0.672 0.168
Mg14 0.757 0.169 0.169
```

Top 10 peaks for 10° ≤ 2θ ≤ 90°, most intense first:
2θ 36.48, d 2.463, I = 100
2θ 36.26, d 2.478, I = 54
2θ 34.56, d 2.596, I = 39
2θ 18.01, d 4.926, I = 28
2θ 31.99, d 2.798, I = 26
2θ 68.12, d 1.377, I = 20
2θ 63.18, d 1.472, I = 19
2θ 15.84, d 5.595, I = 19
2θ 23.37, d 3.807, I = 18
2θ 56.69, d 1.624, I = 18

---

Diffraction record for AgSbTe2. The powder diffraction line list is calculated, not measured: it uses a PBE-relaxed structure and Cu Ka.
Lines closer than 0.1° are merged.

```
data_AgSbTe2
_cell_length_a 3.759
_cell_length_b 3.759
_cell_length_c 7.441
_cell_angle_alpha 90.00
_cell_angle_beta 90.00
_cell_angle_gamma 90.00
_space_group_name_H-M_alt 'P 1'
_space_group_IT_number 1
loop_
_space_group_symop_operation_xyz
'x,y,z'
loop_
_atom_site_label
_atom_site_fract_x
_atom_site_fract_y
_atom_site_fract_z
Ag1 0.000 0.000 0.000
Sb1 0.000 0.000 0.500
Te1 0.500 0.500 0.244
Te2 0.500 0.500 0.756
```

Top 10 peaks for 10° ≤ 2θ ≤ 90°, most intense first:
2θ 33.90, d 2.644, I = 100
2θ 33.72, d 2.658, I = 51
2θ 60.43, d 1.532, I = 36
2θ 48.44, d 1.879, I = 18
2θ 60.77, d 1.524, I = 18
2θ 71.34, d 1.322, I = 11
2θ 48.96, d 1.860, I = 9
2θ 80.87, d 1.189, I = 8
2θ 80.97, d 1.187, I = 8
2θ 81.77, d 1.178, I = 7

---

Diffraction record for YTlP2Se6. The powder diffraction line list is calculated, not measured: it uses a PBE-relaxed structure and Cu Ka.
Lines closer than 0.1° are merged.

```
data_YTlP2Se6
_cell_length_a 6.871
_cell_length_b 7.663
_cell_length_c 10.363
_cell_angle_alpha 90.00
_cell_angle_beta 91.13
_cell_angle_gamma 90.00
_space_group_name_H-M_alt 'P 1'
_space_group_IT_number 1
loop_
_space_group_symop_operation_xyz
'x,y,z'
loop_
_atom_site_label
_atom_site_fract_x
_atom_site_fract_y
_atom_site_fract_z
Y1 0.215 0.000 0.002
Y2 0.785 0.500 0.998
Tl1 0.316 0.222 0.508
Tl2 0.684 0.722 0.492
P1 0.190 0.730 0.296
P2 0.312 0.511 0.176
P3 0.688 0.011 0.824
P4 0.810 0.230 0.704
Se1 0.068 0.311 0.828
Se2 0.075 0.312 0.170
Se3 0.153 0.638 0.490
Se4 0.371 0.635 0.984
Se5 0.400 0.941 0.267
Se6 0.409 0.915 0.744
Se7 0.591 0.415 0.256
Se8 0.600 0.441 0.733
Se9 0.629 0.135 0.016
Se10 0.847 0.138 0.510
Se11 0.925 0.812 0.830
Se12 0.932 0.811 0.172
```

Top 10 peaks for 10° ≤ 2θ ≤ 90°, most intense first:
2θ 28.99, d 3.080, I = 100
2θ 29.93, d 2.985, I = 81
2θ 31.00, d 2.885, I = 74
2θ 24.78, d 3.594, I = 59
2θ 31.49, d 2.841, I = 55
2θ 29.63, d 3.015, I = 54
2θ 34.63, d 2.590, I = 48
2θ 34.98, d 2.565, I = 45
2θ 33.69, d 2.661, I = 41
2θ 37.57, d 2.394, I = 38